Entry 1:
Structure and simulated X-ray powder pattern of Li7Mn8B8O24 (a DFT-relaxed cell (GGA+U, the Materials Project); a wavelength of 1.5418 Å).
Lines closer than 0.1° are merged.

Cell: 5.285 9.102 10.464 Å, 89.59 88.28 89.50°
Space group P1 (No. 1)
One atom of each set of equivalent atoms:
Li  0.000  0.000  0.000 (multiplicity 1)
Li  0.000  0.032  0.507 (multiplicity 1)
Li  0.182  0.524  0.756 (multiplicity 1)
Li  0.186  0.519  0.254 (multiplicity 1)
Li  0.496  0.496  0.010 (multiplicity 1)
Li  0.505  0.530  0.494 (multiplicity 1)
Li  0.679  0.016  0.760 (multiplicity 1)
Mn  0.167  0.861  0.285 (multiplicity 1)
Mn  0.181  0.184  0.789 (multiplicity 1)
Mn  0.501  0.163  0.044 (multiplicity 1)
Mn  0.505  0.852  0.531 (multiplicity 1)
Mn  0.674  0.678  0.787 (multiplicity 1)
Mn  0.688  0.330  0.290 (multiplicity 1)
Mn  0.992  0.679  0.040 (multiplicity 1)
Mn  0.997  0.365  0.543 (multiplicity 1)
B  0.011  0.689  0.547 (multiplicity 1)
B  0.013  0.338  0.052 (multiplicity 1)
B  0.168  0.200  0.300 (multiplicity 1)
B  0.174  0.846  0.792 (multiplicity 1)
B  0.501  0.838  0.038 (multiplicity 1)
B  0.507  0.185  0.541 (multiplicity 1)
B  0.671  0.344  0.799 (multiplicity 1)
B  0.671  0.679  0.293 (multiplicity 1)
O  0.034  0.974  0.805 (multiplicity 1)
O  0.045  0.074  0.322 (multiplicity 1)
O  0.053  0.338  0.331 (multiplicity 1)
O  0.062  0.711  0.826 (multiplicity 1)
O  0.106  0.824  0.509 (multiplicity 1)
O  0.117  0.209  0.003 (multiplicity 1)
O  0.148  0.466  0.060 (multiplicity 1)
O  0.170  0.568  0.561 (multiplicity 1)
O  0.244  0.853  0.074 (multiplicity 1)
O  0.252  0.190  0.578 (multiplicity 1)
O  0.410  0.205  0.244 (multiplicity 1)
O  0.426  0.850  0.750 (multiplicity 1)
O  0.522  0.468  0.815 (multiplicity 1)
O  0.544  0.545  0.302 (multiplicity 1)
O  0.544  0.806  0.331 (multiplicity 1)
O  0.572  0.207  0.833 (multiplicity 1)
O  0.601  0.700  0.005 (multiplicity 1)
O  0.617  0.313  0.484 (multiplicity 1)
O  0.652  0.959  0.033 (multiplicity 1)
O  0.653  0.063  0.563 (multiplicity 1)
O  0.751  0.671  0.574 (multiplicity 1)
O  0.756  0.336  0.096 (multiplicity 1)
O  0.920  0.356  0.751 (multiplicity 1)
O  0.925  0.682  0.252 (multiplicity 1)

Principal peaks in the range 2θ = 15–90°, sorted by position:
d_spacing, Position (°2θ), I_rel, (hkl)
4.551, 19.51, 49, 0 2 0
4.158, 21.37, 43, 1 1 -1
4.140, 21.46, 25, -1 1 1
3.499, 25.45, 20, 1 1 2
3.472, 25.66, 21, 1 -1 2
3.397, 26.23, 25, 1 1 -2
2.641, 33.95, 43, 1 3 0
2.616, 34.27, 100, 0 0 4
2.254, 40.01, 18, 2 2 1
1.884, 48.32, 19, -1 1 5

=====

Entry 2:
Structure and simulated X-ray powder pattern of FeH12S2O14 (a DFT-relaxed cell (GGA+U, the Materials Project); a wavelength of 1.5418 Å).
Lines closer than 0.1° are merged.

Cell: 6.289 12.551 9.037 Å, 90.00 107.33 90.00°
Space group P2_1/c (No. 14)
One atom of each set of equivalent atoms:
Fe  0.000  0.000  0.000 (multiplicity 2)
H  0.004  0.185  0.146 (multiplicity 4)
H  0.063  0.095  0.279 (multiplicity 4)
H  0.086  0.634  0.741 (multiplicity 4)
H  0.323  0.140  0.036 (multiplicity 4)
H  0.325  0.599  0.711 (multiplicity 4)
H  0.335  0.061  0.898 (multiplicity 4)
S  0.258  0.147  0.606 (multiplicity 4)
O  0.012  0.607  0.335 (multiplicity 4)
O  0.056  0.186  0.645 (multiplicity 4)
O  0.160  0.607  0.664 (multiplicity 4)
O  0.193  0.080  0.465 (multiplicity 4)
O  0.292  0.064  0.997 (multiplicity 4)
O  0.391  0.238  0.579 (multiplicity 4)
O  0.400  0.082  0.737 (multiplicity 4)

Principal peaks in the range 2θ = 15–90°, sorted by position:
d_spacing, Position (°2θ), I_rel, (hkl)
5.416, 16.37, 100, 1 1 0
5.075, 17.48, 58, 0 2 1
4.261, 20.85, 52, 1 2 -1
4.135, 21.49, 41, 1 0 -2
4.116, 21.59, 25, 1 1 1
4.079, 21.79, 50, 0 1 2
3.764, 23.64, 53, 0 3 1
3.046, 29.32, 34, 2 1 -1
2.807, 31.88, 20, 2 2 -1
2.775, 32.26, 26, 1 2 2

=====

Entry 3:
Structure and simulated X-ray powder pattern of Li2MnF6 (a DFT-relaxed cell (GGA+U, the Materials Project); a wavelength of 1.5418 Å).
Lines closer than 0.1° are merged.

Cell: 4.988 4.634 16.885 Å, 90.00 90.02 90.00°
Space group P2_1/c (No. 14)
One atom of each set of equivalent atoms:
Li  0.246  0.010  0.447 (multiplicity 4)
Li  0.248  0.514  0.272 (multiplicity 4)
Mn  0.253  0.009  0.120 (multiplicity 4)
F  0.047  0.221  0.874 (multiplicity 4)
F  0.089  0.228  0.199 (multiplicity 4)
F  0.098  0.244  0.045 (multiplicity 4)
F  0.405  0.731  0.546 (multiplicity 4)
F  0.416  0.703  0.700 (multiplicity 4)
F  0.448  0.741  0.375 (multiplicity 4)

Principal peaks in the range 2θ = 15–90°, sorted by position:
d_spacing, Position (°2θ), I_rel, (hkl)
4.469, 19.87, 57, 0 1 1
4.295, 20.68, 100, 1 0 -2
4.221, 21.05, 44, 0 0 4
3.577, 24.89, 37, 0 1 3
3.328, 26.78, 38, 1 1 1
2.907, 30.76, 44, 1 1 -3
2.196, 41.10, 32, 2 1 0
2.167, 41.69, 70, 1 1 6
1.698, 54.02, 24, 2 2 0
1.684, 54.50, 37, 1 2 -6

=====

What did the third record say?
Structure and simulated X-ray powder pattern of Li2MnF6 (a DFT-relaxed cell (GGA+U, the Materials Project); a wavelength of 1.5418 Å).
Lines closer than 0.1° are merged.

Cell: 4.988 4.634 16.885 Å, 90.00 90.02 90.00°
Space group P2_1/c (No. 14)
One atom of each set of equivalent atoms:
Li  0.246  0.010  0.447 (multiplicity 4)
Li  0.248  0.514  0.272 (multiplicity 4)
Mn  0.253  0.009  0.120 (multiplicity 4)
F  0.047  0.221  0.874 (multiplicity 4)
F  0.089  0.228  0.199 (multiplicity 4)
F  0.098  0.244  0.045 (multiplicity 4)
F  0.405  0.731  0.546 (multiplicity 4)
F  0.416  0.703  0.700 (multiplicity 4)
F  0.448  0.741  0.375 (multiplicity 4)

Principal peaks in the range 2θ = 15–90°, sorted by position:
d_spacing, Position (°2θ), I_rel, (hkl)
4.469, 19.87, 57, 0 1 1
4.295, 20.68, 100, 1 0 -2
4.221, 21.05, 44, 0 0 4
3.577, 24.89, 37, 0 1 3
3.328, 26.78, 38, 1 1 1
2.907, 30.76, 44, 1 1 -3
2.196, 41.10, 32, 2 1 0
2.167, 41.69, 70, 1 1 6
1.698, 54.02, 24, 2 2 0
1.684, 54.50, 37, 1 2 -6

=====

Which formula does entry 1 have? Li7Mn8B8O24